# As3C5
Simulated X-ray diffraction stick pattern, λ = 1.5418 Å (Cu Kα). Input: a crystal structure in Alexandria, relaxed with GGA-PBE.
Kinematic intensities with the Lorentz-polarization factor, no thermal factor.

Crystal structure
a = 6.5166 Å, b = 8.0800 Å, c = 6.5181 Å
α = 90.00°, β = 119.97°, γ = 90.00°
Space group P2_1/m (No. 11)
Inequivalent atoms, fractional coordinates:
As 0.0120 0.2500 0.4298 (multiplicity 2)
As 0.4122 0.2500 0.9936 (multiplicity 2)
As 0.4238 0.7500 0.4063 (multiplicity 2)
C 0.0226 0.2500 0.1405 (multiplicity 2)
C 0.1122 0.2500 0.9831 (multiplicity 2)
C 0.1347 0.7500 0.1064 (multiplicity 2)
C 0.3333 0.1551 0.6722 (multiplicity 4)

Top 8 peaks for 2θ from 10° to 90°, in order of rising 2θ:
hkl 0 2 0, 2θ 22.0, d 4.040, I = 100
hkl 1 1 -2, 2θ 29.6, d 3.023, I = 78
hkl 2 0 -2, 2θ 31.7, d 2.823, I = 37
hkl 2 2 0, 2θ 38.9, d 2.314, I = 45
hkl 1 3 -2, 2θ 43.6, d 2.076, I = 26
hkl 3 1 -2, 2θ 43.9, d 2.063, I = 23
hkl 3 1 -4, 2θ 60.2, d 1.537, I = 35
hkl 3 3 -4, 2θ 69.4, d 1.354, I = 22